Record 1
Diffraction record for PrY2Cd8. The X-ray diffraction stick pattern is computed, not measured: it uses a GGA-PBE-relaxed structure and Cu Kα.
Lines closer than 0.1° are merged.

The 8 most intense peaks (2θ from 5° to 70°), low angle first:
| 2θ (°) | intensity |
| --- | --- |
| 31.26 | 24.2 |
| 32.63 | 99.8 |
| 33.17 | 98.7 |
| 33.50 | 43.1 |
| 33.64 | 27.3 |
| 36.02 | 96.0 |
| 36.88 | 100.0 |
| 65.20 | 28.3 |

a b c (Å): 9.010 9.010 5.350
angles (deg): 107.24 107.24 125.00
Fractional coordinates of all 11 atoms:
Pr1 0.000 0.000 0.000
Y1 0.310 0.690 0.500
Y2 0.690 0.310 0.500
Cd1 0.102 0.362 0.732
Cd2 0.203 0.797 0.000
Cd3 0.362 0.102 0.732
Cd4 0.499 0.499 0.251
Cd5 0.501 0.501 0.749
Cd6 0.638 0.898 0.268
Cd7 0.797 0.203 0.000
Cd8 0.898 0.638 0.268



Record 2
Diffraction record for La3YPb2. The X-ray diffraction stick pattern is computed, not measured: it uses a GGA-PBE-relaxed structure and Cu Kα.
Lines closer than 0.1° are merged.

The 8 most intense peaks (2θ from 5° to 70°), low angle first:
| 2θ (°) | intensity |
| --- | --- |
| 26.37 | 37.0 |
| 28.23 | 62.9 |
| 29.96 | 31.0 |
| 33.23 | 100.0 |
| 35.48 | 31.9 |
| 37.64 | 59.3 |
| 48.84 | 32.9 |
| 65.15 | 29.3 |

a b c (Å): 4.779 4.779 8.948
angles (deg): 90.00 90.00 90.00
Fractional coordinates of all 6 atoms:
La1 0.000 0.000 0.000
La2 0.000 0.500 0.652
La3 0.500 0.000 0.348
Y1 0.500 0.500 0.000
Pb1 0.000 0.500 0.276
Pb2 0.500 0.000 0.724



Record 3
Diffraction record for Pm3Te2S2. The X-ray diffraction stick pattern is computed, not measured: it uses a GGA-PBE-relaxed structure and Cu Kα.
Lines closer than 0.1° are merged.

The 8 most intense peaks (2θ from 5° to 70°), low angle first:
| 2θ (°) | intensity |
| --- | --- |
| 22.30 | 84.3 |
| 26.88 | 82.7 |
| 27.89 | 48.3 |
| 29.10 | 52.4 |
| 31.75 | 56.7 |
| 34.37 | 100.0 |
| 38.22 | 93.8 |
| 40.01 | 84.5 |

a b c (Å): 8.723 8.723 6.416
angles (deg): 94.15 94.15 27.19
Fractional coordinates of all 7 atoms:
Pm1 0.000 0.000 0.000
Pm2 0.179 0.179 0.732
Pm3 0.821 0.821 0.268
Te1 0.177 0.177 0.240
Te2 0.823 0.823 0.760
S1 0.429 0.429 0.228
S2 0.571 0.571 0.772



Record 4
Diffraction record for La5Tb. The X-ray diffraction stick pattern is computed, not measured: it uses a GGA-PBE-relaxed structure and Cu Kα.
Lines closer than 0.1° are merged.

The 8 most intense peaks (2θ from 5° to 70°), low angle first:
| 2θ (°) | intensity |
| --- | --- |
| 29.52 | 100.0 |
| 29.64 | 99.0 |
| 34.03 | 34.4 |
| 34.41 | 66.6 |
| 49.17 | 48.5 |
| 58.18 | 29.3 |
| 58.58 | 28.6 |
| 58.80 | 28.3 |

a b c (Å): 5.270 11.090 7.349
angles (deg): 90.00 90.00 90.00
Fractional coordinates of all 12 atoms:
La1 0.250 0.081 0.124
La2 0.250 0.083 0.625
La3 0.250 0.417 0.625
La4 0.250 0.419 0.124
La5 0.250 0.750 0.627
La6 0.750 0.250 0.373
La7 0.750 0.581 0.876
La8 0.750 0.583 0.375
La9 0.750 0.917 0.375
La10 0.750 0.919 0.876
Tb1 0.250 0.750 0.124
Tb2 0.750 0.250 0.876